Starting from the PBE geometry in OQMD, the powder diffraction line list of Cs2Cu3Te4 was simulated for copper Kα.
Peak positions follow from Bragg's law for the DFT cell and can differ from measured ones.

Crystal structure
Lattice parameters (Å, degrees): 9.946 9.946 9.946 141.63 96.25 96.14
Fractional coordinates of all 18 atoms:
Cs  0.122  0.234  0.355
Cs  0.378  0.734  0.112
Cs  0.622  0.266  0.888
Cs  0.878  0.766  0.645
Cu  0.013  0.250  0.763
Cu  0.250  0.750  0.500
Cu  0.487  0.250  0.237
Cu  0.513  0.750  0.763
Cu  0.750  0.250  0.500
Cu  0.987  0.750  0.237
Te  0.024  0.428  0.143
Te  0.215  0.072  0.596
Te  0.285  0.881  0.857
Te  0.476  0.619  0.404
Te  0.524  0.381  0.596
Te  0.715  0.119  0.143
Te  0.785  0.928  0.404
Te  0.976  0.572  0.857

Largest 10 diffraction maxima, in order of rising 2θ, 10 to 90 degrees two-theta:
d/Å, I_rel
3.319, 156
3.268, 130
3.210, 1000
2.329, 357
1.895, 218
1.875, 200
1.843, 154
1.834, 145
1.660, 71
1.465, 98

---

Starting from the PBE geometry in OQMD, the powder diffraction line list of CsCu3Te4W was simulated for copper Kα.
Peak positions follow from Bragg's law for the DFT cell and can differ from measured ones.

Crystal structure
Lattice parameters (Å, degrees): 6.759 6.759 6.759 90.00 90.00 90.00
Fractional coordinates of all 9 atoms:
Cs  0.000  0.000  0.000
Cu  0.000  0.500  0.500
Cu  0.500  0.000  0.500
Cu  0.500  0.500  0.000
Te  0.281  0.281  0.281
Te  0.281  0.719  0.719
Te  0.719  0.281  0.719
Te  0.719  0.719  0.281
W  0.500  0.500  0.500

Largest 10 diffraction maxima, in order of rising 2θ, 10 to 90 degrees two-theta:
d/Å, I_rel
6.759, 334
4.780, 447
3.903, 676
2.760, 277
2.390, 1000
2.038, 260
1.875, 150
1.807, 209
1.593, 162
1.380, 261

---

Starting from the PBE geometry in OQMD, the powder diffraction line list of Cs2DyErS4 was simulated for copper Kα.
Peak positions follow from Bragg's law for the DFT cell and can differ from measured ones.

Crystal structure
Lattice parameters (Å, degrees): 4.080 4.080 16.045 90.00 90.00 120.00
Fractional coordinates of all 8 atoms:
Cs  0.333  0.667  0.250
Cs  0.667  0.333  0.750
Dy  0.000  0.000  0.500
Er  0.000  0.000  0.000
S  0.333  0.667  0.592
S  0.333  0.667  0.910
S  0.667  0.333  0.090
S  0.667  0.333  0.408

Largest 10 diffraction maxima, in order of rising 2θ, 10 to 90 degrees two-theta:
d/Å, I_rel
4.011, 382
3.450, 168
3.233, 1000
2.948, 503
2.651, 185
2.132, 460
2.040, 381
1.818, 268
1.725, 165
1.430, 155

---

Starting from the PBE geometry in OQMD, the powder diffraction line list of CsDy3F10 was simulated for copper Kα.
Peak positions follow from Bragg's law for the DFT cell and can differ from measured ones.

Crystal structure
Lattice parameters (Å, degrees): 7.775 7.775 4.089 90.11 90.11 60.08
Fractional coordinates of all 14 atoms:
Cs  0.000  0.000  0.000
Dy  0.506  0.506  0.538
Dy  0.507  0.984  0.533
Dy  0.984  0.507  0.533
F  0.081  0.457  0.032
F  0.182  0.633  0.553
F  0.183  0.183  0.549
F  0.381  0.807  0.334
F  0.457  0.081  0.032
F  0.457  0.457  0.036
F  0.633  0.182  0.553
F  0.666  0.666  0.767
F  0.807  0.381  0.334
F  0.808  0.808  0.329

Largest 10 diffraction maxima, in order of rising 2θ, 10 to 90 degrees two-theta:
d/Å, I_rel
4.089, 220
3.495, 460
3.368, 1000
2.818, 335
2.600, 233
2.161, 234
1.945, 329
1.756, 136
1.748, 302
1.684, 126

---

Starting from the PBE geometry in OQMD, the powder diffraction line list of Cs2NdDyO4 was simulated for copper Kα.
Peak positions follow from Bragg's law for the DFT cell and can differ from measured ones.

Crystal structure
Lattice parameters (Å, degrees): 3.588 3.588 13.631 90.00 90.00 120.00
Fractional coordinates of all 8 atoms:
Cs  0.333  0.667  0.252
Cs  0.667  0.333  0.748
Nd  0.000  0.000  0.000
Dy  0.000  0.000  0.500
O  0.333  0.667  0.581
O  0.333  0.667  0.911
O  0.667  0.333  0.089
O  0.667  0.333  0.419

Largest 10 diffraction maxima, in order of rising 2θ, 10 to 90 degrees two-theta:
d/Å, I_rel
3.408, 432
3.030, 262
2.827, 1000
2.565, 349
1.834, 345
1.794, 290
1.588, 288
1.515, 154
1.235, 131
1.157, 131

---

Starting from the PBE geometry in OQMD, the powder diffraction line list of CsDyO3 was simulated for copper Kα.
Peak positions follow from Bragg's law for the DFT cell and can differ from measured ones.

Crystal structure
Lattice parameters (Å, degrees): 4.519 4.519 4.519 90.00 90.00 90.00
Fractional coordinates of all 5 atoms:
Cs  0.000  0.000  0.000
Dy  0.500  0.500  0.503
O  0.000  0.500  0.504
O  0.500  0.000  0.504
O  0.500  0.500  0.002

Largest 10 diffraction maxima, in order of rising 2θ, 10 to 90 degrees two-theta:
d/Å, I_rel
4.519, 36
3.195, 1000
2.259, 295
2.021, 17
1.845, 422
1.598, 192
1.429, 186
1.304, 63
1.208, 218
1.130, 30

---

Starting from the PBE geometry in OQMD, the powder diffraction line list of Cs2Dy2O5 was simulated for copper Kα.
Peak positions follow from Bragg's law for the DFT cell and can differ from measured ones.

Crystal structure
Lattice parameters (Å, degrees): 4.351 4.351 9.716 90.00 90.00 90.00
Fractional coordinates of all 9 atoms:
Cs  0.000  0.000  0.000
Cs  0.000  0.000  0.500
Dy  0.500  0.500  0.218
Dy  0.500  0.500  0.782
O  0.000  0.500  0.273
O  0.000  0.500  0.727
O  0.500  0.000  0.273
O  0.500  0.000  0.727
O  0.500  0.500  0.000

Largest 10 diffraction maxima, in order of rising 2θ, 10 to 90 degrees two-theta:
d/Å, I_rel
3.241, 1000
3.077, 415
2.429, 119
2.175, 245
1.907, 159
1.806, 384
1.621, 132
1.390, 90
1.376, 119
1.171, 104

---

Starting from the PBE geometry in OQMD, the powder diffraction line list of CsDySeO was simulated for copper Kα.
Peak positions follow from Bragg's law for the DFT cell and can differ from measured ones.

Crystal structure
Lattice parameters (Å, degrees): 8.476 7.472 6.763 90.00 101.26 90.00
Fractional coordinates of all 16 atoms:
Cs  0.089  0.216  0.476
Cs  0.089  0.284  0.976
Cs  0.911  0.716  0.024
Cs  0.911  0.784  0.524
Dy  0.481  0.629  0.783
Dy  0.481  0.871  0.283
Dy  0.519  0.129  0.717
Dy  0.519  0.371  0.217
Se  0.266  0.596  0.371
Se  0.266  0.904  0.871
Se  0.734  0.096  0.129
Se  0.734  0.404  0.629
O  0.415  0.146  0.384
O  0.415  0.354  0.884
O  0.585  0.646  0.116
O  0.585  0.854  0.616

Largest 10 diffraction maxima, in order of rising 2θ, 10 to 90 degrees two-theta:
d/Å, I_rel
8.313, 463
4.156, 379
3.632, 518
3.135, 980
3.027, 417
2.892, 1000
2.691, 321
2.451, 511
2.255, 250
1.823, 284

---

Starting from the PBE geometry in OQMD, the powder diffraction line list of Cs2Dy2SeS3 was simulated for copper Kα.
Peak positions follow from Bragg's law for the DFT cell and can differ from measured ones.

Crystal structure
Lattice parameters (Å, degrees): 4.134 4.134 16.240 90.00 90.00 120.00
Fractional coordinates of all 8 atoms:
Cs  0.000  0.000  0.000
Cs  0.333  0.667  0.508
Dy  0.667  0.333  0.246
Dy  0.667  0.333  0.754
Se  0.000  0.000  0.346
S  0.000  0.000  0.664
S  0.333  0.667  0.158
S  0.333  0.667  0.843

Largest 10 diffraction maxima, in order of rising 2θ, 10 to 90 degrees two-theta:
d/Å, I_rel
4.060, 334
3.276, 1000
2.986, 663
2.685, 220
2.159, 507
2.067, 451
1.842, 236
1.748, 167
1.448, 158
1.210, 157

---

Starting from the PBE geometry in OQMD, the powder diffraction line list of CsDySbTe3 was simulated for copper Kα.
Peak positions follow from Bragg's law for the DFT cell and can differ from measured ones.

Crystal structure
Lattice parameters (Å, degrees): 9.358 9.358 11.887 90.00 90.00 152.60
Fractional coordinates of all 12 atoms:
Cs  0.240  0.760  0.750
Cs  0.760  0.240  0.250
Dy  0.000  0.000  0.000
Dy  0.000  0.000  0.500
Sb  0.456  0.544  0.250
Sb  0.544  0.456  0.750
Te  0.080  0.920  0.250
Te  0.380  0.620  0.026
Te  0.380  0.620  0.474
Te  0.620  0.380  0.526
Te  0.620  0.380  0.974
Te  0.920  0.080  0.750

Largest 10 diffraction maxima, in order of rising 2θ, 10 to 90 degrees two-theta:
d/Å, I_rel
3.426, 1000
3.065, 881
2.972, 661
2.700, 262
2.655, 228
2.541, 600
2.216, 331
1.980, 357
1.777, 295
1.334, 214

---

Starting from the PBE geometry in OQMD, the powder diffraction line list of CsDyZnTe2Se was simulated for copper Kα.
Peak positions follow from Bragg's law for the DFT cell and can differ from measured ones.

Crystal structure
Lattice parameters (Å, degrees): 8.711 8.711 11.287 90.00 90.00 151.06
Fractional coordinates of all 12 atoms:
Cs  0.233  0.767  0.750
Cs  0.767  0.233  0.250
Dy  0.500  0.500  0.000
Dy  0.500  0.500  0.500
Zn  0.039  0.961  0.250
Zn  0.961  0.039  0.750
Te  0.124  0.876  0.053
Te  0.124  0.876  0.447
Te  0.876  0.124  0.553
Te  0.876  0.124  0.947
Se  0.453  0.547  0.250
Se  0.547  0.453  0.750

Largest 10 diffraction maxima, in order of rising 2θ, 10 to 90 degrees two-theta:
d/Å, I_rel
8.435, 525
3.440, 1000
3.292, 756
2.939, 432
2.822, 365
2.807, 331
2.411, 557
2.176, 426
1.888, 301
1.839, 361

---

Starting from the PBE geometry in OQMD, the powder diffraction line list of CsDyTmSe3 was simulated for copper Kα.
Peak positions follow from Bragg's law for the DFT cell and can differ from measured ones.

Crystal structure
Lattice parameters (Å, degrees): 8.531 8.531 11.072 90.00 90.00 149.46
Fractional coordinates of all 12 atoms:
Cs  0.239  0.761  0.750
Cs  0.761  0.239  0.250
Dy  0.033  0.967  0.250
Dy  0.967  0.033  0.750
Tm  0.500  0.500  0.000
Tm  0.500  0.500  0.500
Se  0.114  0.886  0.038
Se  0.114  0.886  0.462
Se  0.440  0.560  0.250
Se  0.560  0.440  0.750
Se  0.886  0.114  0.538
Se  0.886  0.114  0.962

Largest 10 diffraction maxima, in order of rising 2θ, 10 to 90 degrees two-theta:
d/Å, I_rel
8.230, 1000
4.115, 190
3.317, 737
2.944, 515
2.768, 432
2.394, 576
2.247, 292
1.868, 250
1.814, 211
1.744, 219

---

Starting from the PBE geometry in OQMD, the powder diffraction line list of CsDySnTe3 was simulated for copper Kα.
Peak positions follow from Bragg's law for the DFT cell and can differ from measured ones.

Crystal structure
Lattice parameters (Å, degrees): 17.804 4.461 12.637 90.00 90.00 90.00
Fractional coordinates of all 24 atoms:
Cs  0.228  0.250  0.075
Cs  0.272  0.750  0.575
Cs  0.728  0.250  0.425
Cs  0.772  0.750  0.925
Dy  0.010  0.750  0.646
Dy  0.490  0.250  0.146
Dy  0.510  0.750  0.854
Dy  0.990  0.250  0.354
Sn  0.035  0.250  0.917
Sn  0.465  0.750  0.417
Sn  0.535  0.250  0.583
Sn  0.965  0.750  0.083
Te  0.083  0.750  0.238
Te  0.101  0.250  0.538
Te  0.129  0.750  0.830
Te  0.371  0.250  0.330
Te  0.399  0.750  0.038
Te  0.417  0.250  0.738
Te  0.583  0.750  0.262
Te  0.601  0.250  0.962
Te  0.629  0.750  0.670
Te  0.871  0.250  0.170
Te  0.899  0.750  0.462
Te  0.917  0.250  0.762

Largest 10 diffraction maxima, in order of rising 2θ, 10 to 90 degrees two-theta:
d/Å, I_rel
3.807, 227
3.433, 565
3.373, 782
3.106, 1000
3.059, 396
2.719, 512
2.547, 186
2.230, 361
2.199, 235
2.135, 343